(1)
Calculated XRD peak list of TmInNi for Cu Ka, from a PBE-relaxed structure.
Kinematic intensities with the Lorentz-polarization factor, no thermal factor.

Atomic structure:
```
data_TmInNi
_chemical_formula_sum 'Tm6 In6 Ni6'
_cell_length_a 3.6615
_cell_length_b 13.0104
_cell_length_c 7.4794
_cell_angle_alpha 90.00
_cell_angle_beta 90.00
_cell_angle_gamma 90.00
_symmetry_space_group_name_H-M 'A m m 2'
_symmetry_Int_Tables_number 38
_symmetry_space_group_name_Hall 'A 2 -2'
loop_
_atom_site_label
_atom_site_type_symbol
_atom_site_fract_x
_atom_site_fract_y
_atom_site_fract_z
Tm1 Tm 0.0000 0.0000 0.0000
Tm2 Tm 0.0000 0.2053 0.3852
In1 In 0.5000 0.0000 0.3323
In2 In 0.5000 0.1289 0.7190
Ni1 Ni 0.0000 0.0000 0.5897
Ni2 Ni 0.5000 0.1666 0.0903
```

Top 6 peaks for 15° ≤ 2θ ≤ 90°, by intensity:
(hkl)  2theta  intensity
1 0 2  34.24  100
1 4 0  37.01  71
0 4 2  36.59  36
2 4 2  63.39  21
2 0 0  49.81  18
0 1 3  36.70  17

---

(2)
Calculated XRD peak list of ZnBi3P3O13 for Cu Ka, from a PBE-relaxed structure.
Kinematic intensities with the Lorentz-polarization factor, no thermal factor.

Atomic structure:
```
data_ZnBi3P3O13
_chemical_formula_sum 'Zn2 Bi6 P6 O26'
_cell_length_a 8.4760
_cell_length_b 7.1407
_cell_length_c 11.0026
_cell_angle_alpha 90.00
_cell_angle_beta 101.25
_cell_angle_gamma 90.00
_symmetry_space_group_name_H-M 'P 1 21/m 1'
_symmetry_Int_Tables_number 11
_symmetry_space_group_name_Hall '-P 2yb'
loop_
_atom_site_label
_atom_site_type_symbol
_atom_site_fract_x
_atom_site_fract_y
_atom_site_fract_z
Zn1 Zn 0.0617 0.2500 0.1576
Bi1 Bi 0.1427 0.2500 0.7666
Bi2 Bi 0.3009 0.7500 0.4329
Bi3 Bi 0.5000 0.0000 0.0000
P1 P 0.1750 0.7500 0.0995
P2 P 0.2212 0.7500 0.7598
P3 P 0.2707 0.2500 0.4755
O1 O 0.0027 0.2500 0.9785
O2 O 0.1101 0.5816 0.7821
O3 O 0.1433 0.2500 0.5604
O4 O 0.1444 0.7500 0.2358
O5 O 0.2510 0.0749 0.3897
O6 O 0.2638 0.5668 0.0801
O7 O 0.2644 0.7500 0.6332
O8 O 0.3772 0.2500 0.8888
O9 O 0.3801 0.7500 0.8601
O10 O 0.4394 0.2500 0.5660
```

Top 6 peaks for 15° ≤ 2θ ≤ 90°, by intensity:
(hkl)  2theta  intensity
1 0 -2  17.77  100
2 0 1  24.40  64
2 1 0  24.76  53
1 0 3  28.90  50
1 2 1  29.05  37
0 2 0  24.94  30

---

(3)
Calculated XRD peak list of RbDyBeF6 for Cu Ka, from a PBE-relaxed structure.
Kinematic intensities with the Lorentz-polarization factor, no thermal factor.

Atomic structure:
```
data_RbDyBeF6
_chemical_formula_sum 'Rb2 Dy2 Be2 F12'
_cell_length_a 6.5488
_cell_length_b 5.9095
_cell_length_c 7.1703
_cell_angle_alpha 90.00
_cell_angle_beta 113.54
_cell_angle_gamma 90.00
_symmetry_space_group_name_H-M 'P 1 21/m 1'
_symmetry_Int_Tables_number 11
_symmetry_space_group_name_Hall '-P 2yb'
loop_
_atom_site_label
_atom_site_type_symbol
_atom_site_fract_x
_atom_site_fract_y
_atom_site_fract_z
Rb1 Rb 0.0771 0.2500 0.2110
Dy1 Dy 0.3902 0.2500 0.8200
Be1 Be 0.2344 0.7500 0.4654
F1 F 0.0075 0.7500 0.2711
F2 F 0.2389 0.5343 0.5946
F3 F 0.3260 0.5011 0.0324
F4 F 0.4338 0.7500 0.4021
```

Top 6 peaks for 15° ≤ 2θ ≤ 90°, by intensity:
(hkl)  2theta  intensity
1 1 1  28.19  100
1 1 -2  29.42  76
1 1 0  21.09  44
2 0 -1  27.29  43
2 2 -1  41.19  37
1 0 -1  15.51  35

---

(4)
Calculated XRD peak list of ErCu3Te3 for Cu Ka, from a PBE-relaxed structure.
Kinematic intensities with the Lorentz-polarization factor, no thermal factor.

Atomic structure:
```
data_ErCu3Te3
_chemical_formula_sum 'Er4 Cu12 Te12'
_cell_length_a 6.9371
_cell_length_b 7.6389
_cell_length_c 12.8389
_cell_angle_alpha 90.00
_cell_angle_beta 90.00
_cell_angle_gamma 90.00
_symmetry_space_group_name_H-M 'P n n m'
_symmetry_Int_Tables_number 58
_symmetry_space_group_name_Hall '-P 2 2n'
loop_
_atom_site_label
_atom_site_type_symbol
_atom_site_fract_x
_atom_site_fract_y
_atom_site_fract_z
Er1 Er 0.0000 0.0000 0.1614
Cu1 Cu 0.1232 0.3681 0.1742
Cu2 Cu 0.1280 0.3719 0.5000
Te1 Te 0.2357 0.1833 0.3369
Te2 Te 0.2479 0.1988 0.0000
```

Top 6 peaks for 15° ≤ 2θ ≤ 90°, by intensity:
(hkl)  2theta  intensity
0 3 3  41.26  100
1 1 3  27.13  84
1 0 3  24.44  75
2 2 0  34.94  66
2 1 3  35.32  64
3 1 3  46.18  64

---

(5)
Calculated XRD peak list of TmLuRu2 for Cu Ka, from a PBE-relaxed structure.
Kinematic intensities with the Lorentz-polarization factor, no thermal factor.

Atomic structure:
```
data_TmLuRu2
_chemical_formula_sum 'Tm4 Lu4 Ru8'
_cell_length_a 6.6894
_cell_length_b 6.6894
_cell_length_c 6.6894
_cell_angle_alpha 90.00
_cell_angle_beta 90.00
_cell_angle_gamma 90.00
_symmetry_space_group_name_H-M 'F m -3 m'
_symmetry_Int_Tables_number 225
_symmetry_space_group_name_Hall '-F 4 2 3'
loop_
_atom_site_label
_atom_site_type_symbol
_atom_site_fract_x
_atom_site_fract_y
_atom_site_fract_z
Tm1 Tm 0.0000 0.0000 0.0000
Lu1 Lu 0.0000 0.0000 0.5000
Ru1 Ru 0.2500 0.2500 0.2500
```

Top 6 peaks for 15° ≤ 2θ ≤ 90°, by intensity:
(hkl)  2theta  intensity
2 2 0  38.05  100
4 2 2  68.75  35
4 0 0  54.90  17
4 4 0  81.37  11
2 0 0  26.65  7
4 2 0  62.05  3

---

(6)
Calculated XRD peak list of CaMg6C for Cu Ka, from a PBE-relaxed structure.
Kinematic intensities with the Lorentz-polarization factor, no thermal factor.

Atomic structure:
```
data_CaMg6C
_chemical_formula_sum 'Ca2 Mg12 C2'
_cell_length_a 3.5172
_cell_length_b 5.6937
_cell_length_c 19.8600
_cell_angle_alpha 90.00
_cell_angle_beta 90.00
_cell_angle_gamma 90.00
_symmetry_space_group_name_H-M 'A m m 2'
_symmetry_Int_Tables_number 38
_symmetry_space_group_name_Hall 'A 2 -2'
loop_
_atom_site_label
_atom_site_type_symbol
_atom_site_fract_x
_atom_site_fract_y
_atom_site_fract_z
Ca1 Ca 0.0000 0.0000 0.0000
Mg1 Mg 0.0000 0.2456 0.2484
Mg2 Mg 0.5000 0.0000 0.1408
Mg3 Mg 0.5000 0.0000 0.5933
Mg4 Mg 0.5000 0.2315 0.3679
C1 C 0.0000 0.0000 0.3397
```

Top 6 peaks for 15° ≤ 2θ ≤ 90°, by intensity:
(hkl)  2theta  intensity
1 0 4  31.16  100
1 2 2  41.83  66
0 2 2  32.72  47
1 2 6  49.55  35
0 0 8  36.18  27
0 1 5  27.38  25

---

(7)
Calculated XRD peak list of SiSnPd5 for Cu Ka, from a PBE-relaxed structure.
Kinematic intensities with the Lorentz-polarization factor, no thermal factor.

Atomic structure:
```
data_SiSnPd5
_chemical_formula_sum 'Si1 Sn1 Pd5'
_cell_length_a 4.0203
_cell_length_b 4.0203
_cell_length_c 6.9983
_cell_angle_alpha 90.00
_cell_angle_beta 90.00
_cell_angle_gamma 90.00
_symmetry_space_group_name_H-M 'P 4/m m m'
_symmetry_Int_Tables_number 123
_symmetry_space_group_name_Hall '-P 4 2'
loop_
_atom_site_label
_atom_site_type_symbol
_atom_site_fract_x
_atom_site_fract_y
_atom_site_fract_z
Si1 Si 0.0000 0.0000 0.0000
Sn1 Sn 0.5000 0.5000 0.5000
Pd1 Pd 0.0000 0.0000 0.5000
Pd2 Pd 0.0000 0.5000 0.2041
```

Top 6 peaks for 15° ≤ 2θ ≤ 90°, by intensity:
(hkl)  2theta  intensity
1 1 2  40.90  100
2 0 0  45.10  47
1 1 1  34.04  46
3 1 2  80.36  28
2 0 3  60.83  23
0 0 3  38.60  22